This entry pairs a crystal structure of La12Sm6Er with its theoretical PXRD pattern. Radiation: Cu Ka. Structure: a cell relaxed with GGA-PBE.

Top 12 peaks for 10° ≤ 2θ ≤ 90°, sorted by position:
- 2θ 20.43, I = 11
- 2θ 26.06, I = 10
- 2θ 28.09, I = 47
- 2θ 28.67, I = 21
- 2θ 29.99, I = 26
- 2θ 31.44, I = 100
- 2θ 32.83, I = 62
- 2θ 34.98, I = 41
- 2θ 49.71, I = 13
- 2θ 50.91, I = 26
- 2θ 59.69, I = 12
- 2θ 62.22, I = 21

abc: 9.3724 9.3724 9.3724
angles: 106.88 106.88 106.88
Positions (direct):
La: 0.1162 0.2839 0.8148
La: 0.1852 0.8838 0.7161
La: 0.1933 0.4861 0.5836
La: 0.2839 0.8148 0.1162
La: 0.4164 0.8067 0.5139
La: 0.4861 0.5836 0.1933
La: 0.5139 0.4164 0.8067
La: 0.5836 0.1933 0.4861
La: 0.7161 0.1852 0.8838
La: 0.8067 0.5139 0.4164
La: 0.8148 0.1162 0.2839
La: 0.8838 0.7161 0.1852
Sm: 0.0889 0.4400 0.1936
Sm: 0.1936 0.0889 0.4400
Sm: 0.4400 0.1936 0.0889
Sm: 0.5600 0.8064 0.9111
Sm: 0.8064 0.9111 0.5600
Sm: 0.9111 0.5600 0.8064
Er: 0.0000 0.0000 0.0000


This entry pairs a crystal structure of LaTmAlAg with its theoretical PXRD pattern. Radiation: Cu Ka. Structure: a cell relaxed with GGA-PBE.

Top 12 peaks for 10° ≤ 2θ ≤ 90°, sorted by position:
- 2θ 20.66, I = 10
- 2θ 23.90, I = 17
- 2θ 34.06, I = 100
- 2θ 40.17, I = 5
- 2θ 42.03, I = 5
- 2θ 48.93, I = 18
- 2θ 53.65, I = 2
- 2θ 55.16, I = 7
- 2θ 60.95, I = 37
- 2θ 71.70, I = 11
- 2θ 76.81, I = 4
- 2θ 81.81, I = 16

abc: 7.4462 7.4462 7.4462
angles: 90.00 90.00 90.00
Positions (direct):
La: 0.0000 0.0000 0.0000
La: 0.0000 0.5000 0.5000
La: 0.5000 0.0000 0.5000
La: 0.5000 0.5000 0.0000
Tm: 0.0000 0.0000 0.5000
Tm: 0.0000 0.5000 0.0000
Tm: 0.5000 0.0000 0.0000
Tm: 0.5000 0.5000 0.5000
Al: 0.2500 0.2500 0.2500
Al: 0.2500 0.7500 0.7500
Al: 0.7500 0.2500 0.7500
Al: 0.7500 0.7500 0.2500
Ag: 0.2500 0.2500 0.7500
Ag: 0.2500 0.7500 0.2500
Ag: 0.7500 0.2500 0.2500
Ag: 0.7500 0.7500 0.7500


This entry pairs a crystal structure of LaSb3O9 with its theoretical PXRD pattern. Radiation: Cu Ka. Structure: a cell relaxed with GGA-PBE.

Top 12 peaks for 10° ≤ 2θ ≤ 90°, sorted by position:
- 2θ 24.82, I = 55
- 2θ 26.86, I = 98
- 2θ 28.01, I = 100
- 2θ 30.03, I = 31
- 2θ 32.80, I = 26
- 2θ 33.67, I = 39
- 2θ 34.48, I = 31
- 2θ 36.90, I = 37
- 2θ 48.16, I = 30
- 2θ 48.95, I = 25
- 2θ 50.90, I = 35
- 2θ 58.49, I = 26

abc: 5.5867 5.5867 11.9108
angles: 90.00 90.00 107.11
Positions (direct):
La: 0.2453 0.7547 0.7500
La: 0.7547 0.2453 0.2500
Sb: 0.1217 0.8783 0.0917
Sb: 0.1217 0.8783 0.4083
Sb: 0.5000 0.5000 0.0000
Sb: 0.5000 0.5000 0.5000
Sb: 0.8783 0.1217 0.5917
Sb: 0.8783 0.1217 0.9083
O: 0.0563 0.9437 0.2500
O: 0.1041 0.8959 0.5747
O: 0.1041 0.8959 0.9253
O: 0.1923 0.4181 0.5998
O: 0.1923 0.4181 0.9002
O: 0.3366 0.6634 0.1169
O: 0.3366 0.6634 0.3831
O: 0.4181 0.1923 0.0998
O: 0.4181 0.1923 0.4002
O: 0.5819 0.8077 0.5998
O: 0.5819 0.8077 0.9002
O: 0.6634 0.3366 0.6169
O: 0.6634 0.3366 0.8831
O: 0.8077 0.5819 0.0998
O: 0.8077 0.5819 0.4002
O: 0.8959 0.1041 0.0747
O: 0.8959 0.1041 0.4253
O: 0.9437 0.0563 0.7500


This entry pairs a crystal structure of K2In2Br7 with its theoretical PXRD pattern. Radiation: Cu Ka. Structure: a cell relaxed with GGA-PBE.

Top 12 peaks for 10° ≤ 2θ ≤ 90°, sorted by position:
- 2θ 13.32, I = 34
- 2θ 16.51, I = 34
- 2θ 18.07, I = 49
- 2θ 18.62, I = 100
- 2θ 24.39, I = 26
- 2θ 26.38, I = 49
- 2θ 29.85, I = 29
- 2θ 31.31, I = 21
- 2θ 35.53, I = 38
- 2θ 40.72, I = 23
- 2θ 42.71, I = 20
- 2θ 47.05, I = 25

abc: 8.6254 8.6254 7.0063
angles: 97.83 97.83 100.85
Positions (direct):
K: 0.2048 0.7952 0.0000
K: 0.7952 0.2048 0.0000
In: 0.2692 0.2692 0.5872
In: 0.7308 0.7308 0.4128
Br: 0.0876 0.4130 0.7909
Br: 0.0958 0.0958 0.2666
Br: 0.4130 0.0876 0.7909
Br: 0.5000 0.5000 0.5000
Br: 0.5870 0.9124 0.2091
Br: 0.9042 0.9042 0.7334
Br: 0.9124 0.5870 0.2091


This entry pairs a crystal structure of RePt2Rh5 with its theoretical PXRD pattern. Radiation: Cu Ka. Structure: a cell relaxed with GGA-PBE.

Top 12 peaks for 10° ≤ 2θ ≤ 90°, sorted by position:
- 2θ 22.84, I = 6
- 2θ 32.70, I = 5
- 2θ 40.26, I = 100
- 2θ 46.66, I = 16
- 2θ 46.92, I = 33
- 2θ 52.80, I = 3
- 2θ 58.14, I = 2
- 2θ 68.32, I = 20
- 2θ 68.53, I = 10
- 2θ 82.20, I = 11
- 2θ 82.58, I = 25
- 2θ 87.00, I = 11

abc: 3.8730 3.8730 15.5733
angles: 90.00 90.00 90.00
Positions (direct):
Re: 0.0000 0.0000 0.0000
Re: 0.5000 0.5000 0.5000
Pt: 0.0000 0.0000 0.2534
Pt: 0.0000 0.0000 0.7466
Pt: 0.5000 0.5000 0.2466
Pt: 0.5000 0.5000 0.7534
Rh: 0.0000 0.0000 0.5000
Rh: 0.0000 0.5000 0.1185
Rh: 0.0000 0.5000 0.3815
Rh: 0.0000 0.5000 0.6185
Rh: 0.0000 0.5000 0.8815
Rh: 0.5000 0.0000 0.1185
Rh: 0.5000 0.0000 0.3815
Rh: 0.5000 0.0000 0.6185
Rh: 0.5000 0.0000 0.8815
Rh: 0.5000 0.5000 0.0000


This entry pairs a crystal structure of LiCuP4O12 with its theoretical PXRD pattern. Radiation: Cu Ka. Structure: a cell relaxed with GGA-PBE.

Top 12 peaks for 10° ≤ 2θ ≤ 90°, sorted by position:
- 2θ 12.96, I = 100
- 2θ 16.55, I = 42
- 2θ 18.61, I = 37
- 2θ 19.51, I = 36
- 2θ 22.70, I = 30
- 2θ 24.49, I = 99
- 2θ 28.53, I = 26
- 2θ 29.18, I = 26
- 2θ 29.87, I = 34
- 2θ 30.32, I = 27
- 2θ 34.48, I = 20
- 2θ 41.85, I = 17

abc: 5.6016 6.7605 7.3123
angles: 109.25 92.80 104.82
Positions (direct):
Li: 0.0000 0.0000 0.0000
Cu: 0.5633 0.6705 0.5179
P: 0.2670 0.8955 0.3323
P: 0.4548 0.1089 0.7453
P: 0.6933 0.2369 0.2919
P: 0.8795 0.4576 0.7087
O: 0.0348 0.8669 0.2086
O: 0.1245 0.5149 0.8263
O: 0.2876 0.0784 0.5457
O: 0.2975 0.0993 0.8991
O: 0.2988 0.6879 0.3621
O: 0.5115 0.9944 0.2490
O: 0.5291 0.3934 0.3369
O: 0.6228 0.9546 0.6902
O: 0.6457 0.3483 0.7995
O: 0.8216 0.6608 0.6834
O: 0.8465 0.2258 0.1326
O: 0.8618 0.2797 0.4951


This entry pairs a crystal structure of DySi3Rh2 with its theoretical PXRD pattern. Radiation: Cu Ka. Structure: a cell relaxed with GGA-PBE.

Top 12 peaks for 10° ≤ 2θ ≤ 90°, sorted by position:
- 2θ 22.14, I = 55
- 2θ 30.70, I = 71
- 2θ 31.48, I = 35
- 2θ 34.80, I = 51
- 2θ 35.50, I = 60
- 2θ 37.17, I = 52
- 2θ 37.89, I = 100
- 2θ 39.14, I = 26
- 2θ 40.43, I = 61
- 2θ 49.24, I = 23
- 2θ 58.00, I = 32
- 2θ 62.59, I = 24

abc: 5.9443 5.9443 5.5436
angles: 90.00 90.00 78.49
Positions (direct):
Dy: 0.1656 0.8344 0.7500
Dy: 0.8344 0.1656 0.2500
Si: 0.0534 0.6503 0.2500
Si: 0.3497 0.9466 0.2500
Si: 0.4595 0.5405 0.2500
Si: 0.5405 0.4595 0.7500
Si: 0.6503 0.0534 0.7500
Si: 0.9466 0.3497 0.7500
Rh: 0.2855 0.2855 0.0000
Rh: 0.2855 0.2855 0.5000
Rh: 0.7145 0.7145 0.0000
Rh: 0.7145 0.7145 0.5000


This entry pairs a crystal structure of PbC2F with its theoretical PXRD pattern. Radiation: Cu Ka. Structure: a cell relaxed with GGA-PBE.

Top 12 peaks for 10° ≤ 2θ ≤ 90°, sorted by position:
- 2θ 16.42, I = 100
- 2θ 27.69, I = 42
- 2θ 30.11, I = 49
- 2θ 33.18, I = 29
- 2θ 34.48, I = 34
- 2θ 40.01, I = 57
- 2θ 40.26, I = 17
- 2θ 46.82, I = 37
- 2θ 58.58, I = 19
- 2θ 59.24, I = 18
- 2θ 67.10, I = 13
- 2θ 71.63, I = 12

abc: 3.2583 3.2583 21.5972
angles: 90.00 90.00 90.00
Positions (direct):
Pb: 0.0000 0.2500 0.3750
Pb: 0.0000 0.7500 0.6250
Pb: 0.5000 0.2500 0.1250
Pb: 0.5000 0.7500 0.8750
C: 0.0000 0.0000 0.0000
C: 0.0000 0.5000 0.0000
C: 0.2500 0.2500 0.7500
C: 0.2500 0.7500 0.2500
C: 0.5000 0.0000 0.5000
C: 0.5000 0.5000 0.5000
C: 0.7500 0.2500 0.7500
C: 0.7500 0.7500 0.2500
F: 0.0000 0.2500 0.8750
F: 0.0000 0.7500 0.1250
F: 0.5000 0.2500 0.6250
F: 0.5000 0.7500 0.3750


This entry pairs a crystal structure of ZnGa5Pd4 with its theoretical PXRD pattern. Radiation: Cu Ka. Structure: a cell relaxed with GGA-PBE.

Top 12 peaks for 10° ≤ 2θ ≤ 90°, sorted by position:
- 2θ 29.77, I = 28
- 2θ 32.60, I = 56
- 2θ 35.95, I = 30
- 2θ 36.23, I = 35
- 2θ 39.58, I = 65
- 2θ 40.99, I = 100
- 2θ 41.54, I = 57
- 2θ 43.12, I = 55
- 2θ 43.79, I = 97
- 2θ 44.82, I = 97
- 2θ 67.66, I = 27
- 2θ 73.98, I = 31

abc: 7.8164 8.8005 4.6843
angles: 90.00 90.00 90.00
Positions (direct):
Zn: 0.2500 0.2500 0.2416
Zn: 0.7500 0.7500 0.7584
Ga: 0.0725 0.0116 0.2572
Ga: 0.0725 0.4884 0.2572
Ga: 0.2500 0.7500 0.5309
Ga: 0.4275 0.0116 0.2572
Ga: 0.4275 0.4884 0.2572
Ga: 0.5725 0.5116 0.7428
Ga: 0.5725 0.9884 0.7428
Ga: 0.7500 0.2500 0.4691
Ga: 0.9275 0.5116 0.7428
Ga: 0.9275 0.9884 0.7428
Pd: 0.0702 0.7500 0.0112
Pd: 0.2500 0.0649 0.7458
Pd: 0.2500 0.4351 0.7458
Pd: 0.4298 0.7500 0.0112
Pd: 0.5702 0.2500 0.9888
Pd: 0.7500 0.5649 0.2542
Pd: 0.7500 0.9351 0.2542
Pd: 0.9298 0.2500 0.9888


This entry pairs a crystal structure of Th3ReTe2 with its theoretical PXRD pattern. Radiation: Cu Ka. Structure: a cell relaxed with GGA-PBE.

Top 12 peaks for 10° ≤ 2θ ≤ 90°, sorted by position:
- 2θ 11.60, I = 12
- 2θ 28.42, I = 100
- 2θ 36.41, I = 7
- 2θ 39.53, I = 11
- 2θ 39.64, I = 22
- 2θ 41.59, I = 23
- 2θ 41.71, I = 11
- 2θ 51.04, I = 6
- 2θ 51.24, I = 11
- 2θ 58.80, I = 9
- 2θ 65.19, I = 7
- 2θ 67.95, I = 8

abc: 7.5084 7.5084 8.0234
angles: 98.97 98.97 119.81
Positions (direct):
Th: 0.0601 0.4284 0.7884
Th: 0.2007 0.2007 0.2073
Th: 0.4284 0.0601 0.7884
Th: 0.5716 0.9399 0.2116
Th: 0.7993 0.7993 0.7927
Th: 0.9399 0.5716 0.2116
Re: 0.1684 0.8316 0.0000
Re: 0.8316 0.1684 0.0000
Te: 0.0000 0.0000 0.5000
Te: 0.3449 0.6551 0.5000
Te: 0.5000 0.5000 0.0000
Te: 0.6551 0.3449 0.5000


This entry pairs a crystal structure of Nd2Ag2Au15 with its theoretical PXRD pattern. Radiation: Cu Ka. Structure: a cell relaxed with GGA-PBE.

Top 12 peaks for 10° ≤ 2θ ≤ 90°, sorted by position:
- 2θ 18.54, I = 23
- 2θ 32.40, I = 14
- 2θ 32.82, I = 14
- 2θ 37.21, I = 26
- 2θ 37.52, I = 100
- 2θ 37.88, I = 16
- 2θ 41.88, I = 15
- 2θ 42.13, I = 59
- 2θ 61.17, I = 13
- 2θ 67.27, I = 13
- 2θ 67.82, I = 16
- 2θ 79.98, I = 13

abc: 7.3422 7.3422 7.3422
angles: 81.38 81.38 81.38
Positions (direct):
Nd: 0.1556 0.1556 0.1556
Nd: 0.8444 0.8444 0.8444
Ag: 0.4014 0.4014 0.4014
Ag: 0.5986 0.5986 0.5986
Au: 0.0000 0.5000 0.5000
Au: 0.1440 0.1440 0.6569
Au: 0.1440 0.6569 0.1440
Au: 0.1963 0.5000 0.8037
Au: 0.1963 0.8037 0.5000
Au: 0.3431 0.8560 0.8560
Au: 0.5000 0.0000 0.5000
Au: 0.5000 0.1963 0.8037
Au: 0.5000 0.5000 0.0000
Au: 0.5000 0.8037 0.1963
Au: 0.6569 0.1440 0.1440
Au: 0.8037 0.1963 0.5000
Au: 0.8037 0.5000 0.1963
Au: 0.8560 0.3431 0.8560
Au: 0.8560 0.8560 0.3431


This entry pairs a crystal structure of LiCd2 with its theoretical PXRD pattern. Radiation: Cu Ka. Structure: a cell relaxed with GGA-PBE.

Top 12 peaks for 10° ≤ 2θ ≤ 90°, sorted by position:
- 2θ 21.50, I = 15
- 2θ 26.11, I = 27
- 2θ 26.35, I = 53
- 2θ 37.36, I = 100
- 2θ 37.52, I = 70
- 2θ 37.88, I = 31
- 2θ 53.73, I = 12
- 2θ 54.24, I = 23
- 2θ 67.26, I = 12
- 2θ 67.60, I = 13
- 2θ 68.17, I = 11
- 2θ 75.76, I = 15

abc: 5.8864 4.7506 8.3753
angles: 90.00 90.00 90.00
Positions (direct):
Li: 0.2427 0.2500 0.0870
Li: 0.2573 0.7500 0.5870
Li: 0.7427 0.2500 0.4130
Li: 0.7573 0.7500 0.9130
Cd: 0.0031 0.2500 0.7513
Cd: 0.2437 0.2500 0.4170
Cd: 0.2563 0.7500 0.9170
Cd: 0.4969 0.7500 0.2513
Cd: 0.5031 0.2500 0.7487
Cd: 0.7437 0.2500 0.0830
Cd: 0.7563 0.7500 0.5830
Cd: 0.9969 0.7500 0.2487